Starting from a PBE-relaxed structure, the powder diffractogram of SmCd2Ag was calculated for Cu Kα (weighted mean of Kα1 and Kα2).
Peak positions follow from Bragg's law for the DFT cell and can differ from measured ones.

Main lines, by angle (10° ≤ 2θ ≤ 90°):
hkl  Position (°2θ)  intensity
1 1 1  33.83  100.0
0 0 2  37.18  19.3
2 0 0  40.26  30.7
2 0 2  55.96  22.8
2 2 0  58.25  10.0
1 1 3  64.90  14.3
3 1 1  69.09  23.7
2 2 2  71.16  10.9

Crystal structure
Lattice parameters (Å, degrees): 4.480 4.480 4.836 90.00 90.00 90.00
Space group P4/mmm (No. 123)
One atom of each set of equivalent atoms:
Sm 0.000 0.000 0.000
Cd 0.000 0.500 0.500
Ag 0.500 0.500 0.000

***

Starting from a PBE-relaxed structure, the powder diffractogram of Sm7Cd2Ag2 was calculated for Cu Kα (weighted mean of Kα1 and Kα2).
Peak positions follow from Bragg's law for the DFT cell and can differ from measured ones.

Main lines, by angle (10° ≤ 2θ ≤ 90°):
hkl  Position (°2θ)  intensity
2 0 1  25.24  42.6
1 1 2  26.82  50.3
2 2 0  27.53  48.9
0 4 0  31.82  63.8
1 3 2  35.18  50.4
2 2 2  36.14  100.0
0 0 4  46.92  20.1
0 4 4  57.81  18.2

Crystal structure
Lattice parameters (Å, degrees): 7.929 11.248 7.746 90.00 90.00 90.00
Space group Cmmm (No. 65)
One atom of each set of equivalent atoms:
Sm 0.000 0.000 0.000
Sm 0.000 0.500 0.258
Sm 0.250 0.250 0.278
Cd 0.173 0.000 0.500
Ag 0.000 0.290 0.000